# 1
# LiZnNi2
Theoretical powder XRD pattern, Cu Kα. Input: DFT lattice parameters and positions (GGA-PBE).
No peak broadening, texture or thermal motion is included.

Most intense lines, 10 to 90 degrees two-theta, low angle first:
| 2θ/deg | intensity | (hkl) |
| --- | --- | --- |
| 18.02 | 23 | 0 0 1 |
| 23.39 | 14 | 0 1 0 |
| 43.80 | 100 | 0 1 2 |
| 47.83 | 19 | 0 2 0 |
| 48.26 | 18 | 1 0 -2 |
| 86.31 | 12 | 0 3 2 |

Unit cell a=2.4900 b=3.8035 c=4.9776 alpha=90.00 beta=98.50 gamma=90.00
Space group Pm (No. 6)
Asymmetric unit:
1 Li 0.0000 0.0000 0.0000
2 Zn 0.5159 0.5000 0.7384
3 Ni 0.4592 0.5000 0.2439
4 Ni 0.9842 0.0000 0.4847


# 2
# LiZn8Ni5
Theoretical powder XRD pattern, Cu Kα. Input: DFT lattice parameters and positions (GGA-PBE).
No peak broadening, texture or thermal motion is included.

Most intense lines, 10 to 90 degrees two-theta, low angle first:
| 2θ/deg | intensity | (hkl) |
| --- | --- | --- |
| 38.24 | 50 | 1 0 3 |
| 39.96 | 75 | 3 0 1 |
| 40.17 | 63 | 3 1 0 |
| 46.28 | 100 | 1 2 3 |
| 47.21 | 41 | 3 1 2 |
| 47.77 | 54 | 2 3 1 |

Unit cell a=7.0989 b=7.0989 c=7.4841 alpha=90.00 beta=90.00 gamma=90.00
Space group I-4 (No. 82)
Asymmetric unit:
1 Li 0.0000 0.0000 0.0000
2 Zn 0.0700 0.8327 0.3315
3 Zn 0.0991 0.6639 0.9860
4 Ni 0.0000 0.5000 0.2500
5 Ni 0.1273 0.7127 0.6674


# 3
# Li14ZnNi
Theoretical powder XRD pattern, Cu Kα. Input: DFT lattice parameters and positions (GGA-PBE).
No peak broadening, texture or thermal motion is included.

Most intense lines, 10 to 90 degrees two-theta, low angle first:
| 2θ/deg | intensity | (hkl) |
| --- | --- | --- |
| 17.00 | 71 | 0 0 2 |
| 18.84 | 54 | 2 0 0 |
| 19.45 | 100 | 1 0 2 |
| 25.48 | 50 | 2 0 2 |
| 33.32 | 50 | 1 2 0 |
| 37.64 | 60 | 1 2 2 |

Unit cell a=9.4181 b=5.6104 c=10.4329 alpha=90.00 beta=90.00 gamma=90.00
Space group Amm2 (No. 38)
Asymmetric unit:
1 Li 0.0000 0.0000 0.0000
2 Li 0.0000 0.0000 0.4965
3 Li 0.0000 0.2494 0.2457
4 Li 0.2536 0.0000 0.8386
5 Li 0.2649 0.0000 0.3345
6 Li 0.2749 0.2442 0.0975
7 Li 0.5000 0.2498 0.4335
8 Zn 0.5000 0.0000 0.6911
9 Ni 0.5000 0.0000 0.1929


# 4
# Li6ZnNi
Theoretical powder XRD pattern, Cu Kα. Input: DFT lattice parameters and positions (GGA-PBE).
No peak broadening, texture or thermal motion is included.

Most intense lines, 10 to 90 degrees two-theta, low angle first:
| 2θ/deg | intensity | (hkl) |
| --- | --- | --- |
| 25.11 | 34 | 1 0 -1 |
| 25.35 | 100 | 0 1 1 |
| 25.59 | 65 | 1 1 0 |
| 36.28 | 35 | 2 0 0 |
| 44.32 | 20 | -1 1 2 |
| 44.76 | 19 | 1 2 -1 |

Unit cell a=4.9504 b=4.9545 c=4.9804 alpha=90.04 beta=91.17 gamma=90.47
Space group P-1 (No. 2)
Asymmetric unit:
1 Li 0.9999 0.2435 0.4993
2 Li 0.2432 0.4998 0.9985
3 Li 0.4993 0.9998 0.2431
4 Zn 0.5000 0.5000 0.5000
5 Ni 0.0000 0.0000 0.0000


# 5
# LiZn3Ni3
Theoretical powder XRD pattern, Cu Kα. Input: DFT lattice parameters and positions (GGA-PBE).
No peak broadening, texture or thermal motion is included.

Most intense lines, 10 to 90 degrees two-theta, low angle first:
| 2θ/deg | intensity | (hkl) |
| --- | --- | --- |
| 20.83 | 25 | 0 2 0 |
| 34.89 | 17 | 3 1 0 |
| 42.39 | 38 | 0 4 0 |
| 44.81 | 17 | 4 0 0 |
| 45.90 | 100 | 2 2 2 |
| 49.90 | 17 | 4 2 0 |

Unit cell a=8.0908 b=8.5286 c=5.3509 alpha=90.00 beta=90.00 gamma=90.00
Space group Cmmm (No. 65)
Asymmetric unit:
1 Li 0.1704 0.0000 0.0000
2 Zn 0.0000 0.5000 0.2611
3 Zn 0.2500 0.2500 0.2534
4 Ni 0.0000 0.2459 0.5000
5 Ni 0.0000 0.2642 0.0000
6 Ni 0.1575 0.0000 0.5000


# 6
# Li3Zn8Ni4
Theoretical powder XRD pattern, Cu Kα. Input: DFT lattice parameters and positions (GGA-PBE).
No peak broadening, texture or thermal motion is included.

Most intense lines, 10 to 90 degrees two-theta, low angle first:
| 2θ/deg | intensity | (hkl) |
| --- | --- | --- |
| 26.43 | 23 | 1 1 1 |
| 30.61 | 16 | 2 0 0 |
| 43.84 | 100 | 2 2 0 |
| 51.92 | 10 | 3 1 1 |
| 63.73 | 15 | 4 0 0 |
| 80.57 | 28 | 4 2 2 |

Unit cell a=5.8412 b=5.8412 c=5.8412 alpha=90.00 beta=90.00 gamma=90.00
Space group Pm-3m (No. 221)
Asymmetric unit:
1 Li 0.0000 0.0000 0.5000
2 Zn 0.2604 0.2604 0.2604
3 Ni 0.0000 0.0000 0.0000
4 Ni 0.0000 0.5000 0.5000


# 7
# Li2Zn3Ni3
Theoretical powder XRD pattern, Cu Kα. Input: DFT lattice parameters and positions (GGA-PBE).
No peak broadening, texture or thermal motion is included.

Most intense lines, 10 to 90 degrees two-theta, low angle first:
| 2θ/deg | intensity | (hkl) |
| --- | --- | --- |
| 10.38 | 90 | 0 0 2 |
| 20.85 | 17 | 0 0 4 |
| 42.43 | 28 | 0 0 8 |
| 43.71 | 26 | 0 2 0 |
| 44.37 | 100 | 1 1 4 |
| 62.55 | 17 | 0 2 8 |

Unit cell a=2.8119 b=4.1419 c=17.0418 alpha=90.00 beta=90.00 gamma=90.00
Space group Immm (No. 71)
Asymmetric unit:
1 Li 0.0000 0.0000 0.2469
2 Zn 0.0000 0.0000 0.0000
3 Zn 0.0000 0.5000 0.1232
4 Ni 0.0000 0.0000 0.5000
5 Ni 0.0000 0.5000 0.3785


# 8
# Li2Zn2Ni3
Theoretical powder XRD pattern, Cu Kα. Input: DFT lattice parameters and positions (GGA-PBE).
No peak broadening, texture or thermal motion is included.

Most intense lines, 10 to 90 degrees two-theta, low angle first:
| 2θ/deg | intensity | (hkl) |
| --- | --- | --- |
| 14.30 | 100 | 0 0 1 |
| 41.27 | 35 | 0 1 -3 |
| 42.32 | 33 | 0 2 1 |
| 42.97 | 75 | 1 1 -1 |
| 48.14 | 23 | -1 1 2 |
| 48.39 | 22 | 1 0 2 |

Unit cell a=2.6132 b=5.6208 c=6.5773 alpha=109.05 beta=90.30 gamma=103.40
Space group P-1 (No. 2)
Asymmetric unit:
1 Li 0.1145 0.2302 0.4377
2 Zn 0.2922 0.5840 0.8413
3 Ni 0.0000 0.0000 0.0000
4 Ni 0.4113 0.8222 0.2408


# 9
# Li5Zn3Ni3
Theoretical powder XRD pattern, Cu Kα. Input: DFT lattice parameters and positions (GGA-PBE).
No peak broadening, texture or thermal motion is included.

Most intense lines, 10 to 90 degrees two-theta, low angle first:
| 2θ/deg | intensity | (hkl) |
| --- | --- | --- |
| 11.72 | 84 | 1 0 0 |
| 20.37 | 100 | 1 1 0 |
| 37.37 | 35 | 1 0 1 |
| 41.15 | 25 | 1 1 1 |
| 43.20 | 62 | 3 1 0 |
| 47.96 | 39 | 2 1 1 |

Unit cell a=8.7191 b=8.7191 c=2.5385 alpha=90.00 beta=90.00 gamma=120.00
Space group P-62m (No. 189)
Asymmetric unit:
1 Li 0.0000 0.6995 0.0000
2 Li 0.3333 0.6667 0.0000
3 Zn 0.0000 0.3905 0.0000
4 Ni 0.0000 0.1549 0.5000


# 10
# Li3ZnNi
Theoretical powder XRD pattern, Cu Kα. Input: DFT lattice parameters and positions (GGA-PBE).
No peak broadening, texture or thermal motion is included.

Most intense lines, 10 to 90 degrees two-theta, low angle first:
| 2θ/deg | intensity | (hkl) |
| --- | --- | --- |
| 16.60 | 29 | 1 1 0 |
| 19.36 | 100 | 2 0 0 |
| 21.45 | 36 | 0 1 1 |
| 29.05 | 34 | 2 1 1 |
| 37.67 | 32 | 1 1 2 |
| 48.20 | 28 | 2 2 2 |

Unit cell a=9.1697 b=6.5685 c=5.3392 alpha=90.00 beta=90.00 gamma=90.00
Space group Ima2 (No. 46)
Asymmetric unit:
1 Li 0.0064 0.2483 0.0000
2 Li 0.2500 0.0566 0.2564
3 Zn 0.2500 0.0482 0.7560
4 Ni 0.2500 0.7503 0.0075


# 11
# Li2Zr2Ni15
Theoretical powder XRD pattern, Cu Kα. Input: DFT lattice parameters and positions (GGA-PBE).
No peak broadening, texture or thermal motion is included.

Most intense lines, 10 to 90 degrees two-theta, low angle first:
| 2θ/deg | intensity | (hkl) |
| --- | --- | --- |
| 21.73 | 22 | 1 1 0 |
| 38.10 | 20 | 3 0 0 |
| 44.29 | 31 | 2 2 0 |
| 44.48 | 100 | 0 3 3 |
| 45.07 | 35 | 0 0 6 |
| 50.03 | 43 | 2 2 3 |

Unit cell a=8.1812 b=8.1812 c=12.0703 alpha=90.00 beta=90.00 gamma=120.00
Space group R-3m (No. 166, hexagonal axes)
Asymmetric unit:
1 Li 0.0000 0.0000 0.0933
2 Zr 0.0000 0.0000 0.3466
3 Ni 0.0000 0.3185 0.0000
4 Ni 0.0000 0.5000 0.5000
5 Ni 0.0046 0.5023 0.1600


# 12
# LiZrNi
Theoretical powder XRD pattern, Cu Kα. Input: DFT lattice parameters and positions (GGA-PBE).
No peak broadening, texture or thermal motion is included.

Most intense lines, 10 to 90 degrees two-theta, low angle first:
| 2θ/deg | intensity | (hkl) |
| --- | --- | --- |
| 13.65 | 18 | 0 0 1 |
| 20.37 | 53 | 1 0 0 |
| 38.92 | 28 | 2 0 -1 |
| 39.55 | 13 | 0 1 2 |
| 40.09 | 100 | 1 1 1 |
| 41.77 | 21 | 0 0 3 |

Unit cell a=4.6286 b=3.2017 c=6.8797 alpha=90.00 beta=109.46 gamma=90.00
Space group Pm (No. 6)
Asymmetric unit:
1 Li 0.0000 0.0000 0.0000
2 Li 0.1493 0.5000 0.2952
3 Zr 0.3528 0.0000 0.7111
4 Zr 0.6808 0.0000 0.3600
5 Ni 0.5219 0.5000 0.0348
6 Ni 0.8352 0.5000 0.6813